Record 1
Diffraction record for Tm3Tl2Sn. The powder diffractogram is theoretical, not measured: it uses a crystal structure in Alexandria, relaxed with PBE and CuKα.

Crystal structure
a = 5.365 Å, b = 16.159 Å, c = 3.658 Å
α = 90.00°, β = 90.00°, γ = 90.00°
Atoms (fractional coordinates):
Tm 0.000 0.000 0.000
Tm 0.000 0.339 0.000
Tm 0.000 0.661 0.000
Tm 0.500 0.161 0.000
Tm 0.500 0.500 0.000
Tm 0.500 0.839 0.000
Tl 0.000 0.172 0.500
Tl 0.000 0.828 0.500
Tl 0.500 0.328 0.500
Tl 0.500 0.672 0.500
Sn 0.000 0.500 0.500
Sn 0.500 0.000 0.500

Top 12 peaks for 2θ = 5–70°, most intense first:
2.636 Å, 2θ = 34.01°, I = 1000
2.682 Å, 2θ = 33.40°, I = 264
2.693 Å, 2θ = 33.27°, I = 259
1.540 Å, 2θ = 60.10°, I = 199
1.901 Å, 2θ = 47.86°, I = 190
1.544 Å, 2θ = 59.92°, I = 188
1.512 Å, 2θ = 61.31°, I = 186
1.829 Å, 2θ = 49.86°, I = 87
1.347 Å, 2θ = 69.85°, I = 28
8.080 Å, 2θ = 10.95°, I = 20
2.768 Å, 2θ = 32.34°, I = 19
3.332 Å, 2θ = 26.75°, I = 13

***

Record 2
Diffraction record for Tm5Tl2Sn. The powder diffractogram is theoretical, not measured: it uses a crystal structure in Alexandria, relaxed with PBE and CuKα.

Crystal structure
a = 8.892 Å, b = 8.892 Å, c = 8.892 Å
α = 126.20°, β = 126.20°, γ = 79.56°
Atoms (fractional coordinates):
Tm 0.000 0.000 0.000
Tm 0.002 0.502 0.812
Tm 0.191 0.002 0.500
Tm 0.309 0.809 0.812
Tm 0.498 0.309 0.500
Tm 0.500 0.500 0.000
Tm 0.502 0.691 0.500
Tm 0.691 0.191 0.188
Tm 0.809 0.998 0.500
Tm 0.998 0.498 0.188
Tl 0.140 0.360 0.500
Tl 0.360 0.860 0.220
Tl 0.640 0.140 0.780
Tl 0.860 0.640 0.500
Sn 0.250 0.250 0.000
Sn 0.750 0.750 0.000

Top 12 peaks for 2θ = 5–70°, most intense first:
2.824 Å, 2θ = 31.69°, I = 1000
2.544 Å, 2θ = 35.27°, I = 453
1.419 Å, 2θ = 65.79°, I = 244
1.697 Å, 2θ = 54.03°, I = 122
2.278 Å, 2θ = 39.56°, I = 115
2.604 Å, 2θ = 34.44°, I = 103
1.794 Å, 2θ = 50.90°, I = 100
1.399 Å, 2θ = 66.87°, I = 86
1.458 Å, 2θ = 63.87°, I = 73
2.929 Å, 2θ = 30.52°, I = 70
6.834 Å, 2θ = 12.95°, I = 69
1.508 Å, 2θ = 61.50°, I = 67

***

Record 3
Diffraction record for Y5Tl4Sn. The powder diffractogram is theoretical, not measured: it uses a crystal structure in Alexandria, relaxed with PBE and CuKα.

Crystal structure
a = 3.640 Å, b = 3.640 Å, c = 20.545 Å
α = 90.00°, β = 90.00°, γ = 90.00°
Atoms (fractional coordinates):
Y 0.000 0.000 0.000
Y 0.000 0.000 0.200
Y 0.000 0.000 0.402
Y 0.000 0.000 0.598
Y 0.000 0.000 0.800
Tl 0.500 0.500 0.100
Tl 0.500 0.500 0.299
Tl 0.500 0.500 0.701
Tl 0.500 0.500 0.900
Sn 0.500 0.500 0.500

Top 12 peaks for 2θ = 5–70°, most intense first:
2.725 Å, 2θ = 32.87°, I = 1000
2.574 Å, 2θ = 34.86°, I = 429
1.513 Å, 2θ = 61.25°, I = 337
1.606 Å, 2θ = 57.39°, I = 207
1.820 Å, 2θ = 50.12°, I = 155
1.362 Å, 2θ = 68.93°, I = 118
3.640 Å, 2θ = 24.46°, I = 116
2.055 Å, 2θ = 44.08°, I = 114
4.109 Å, 2θ = 21.63°, I = 77
2.181 Å, 2θ = 41.39°, I = 63
1.789 Å, 2θ = 51.04°, I = 37
1.664 Å, 2θ = 55.20°, I = 31

***

Record 4
Diffraction record for Y6Tl2Sn. The powder diffractogram is theoretical, not measured: it uses a crystal structure in Alexandria, relaxed with PBE and CuKα.

Crystal structure
a = 6.206 Å, b = 9.000 Å, c = 11.106 Å
α = 90.00°, β = 118.71°, γ = 90.00°
Atoms (fractional coordinates):
Y 0.048 0.167 0.442
Y 0.048 0.333 0.942
Y 0.358 0.682 0.440
Y 0.358 0.818 0.940
Y 0.408 0.033 0.298
Y 0.408 0.467 0.798
Y 0.592 0.533 0.202
Y 0.592 0.967 0.702
Y 0.642 0.182 0.060
Y 0.642 0.318 0.560
Y 0.952 0.667 0.058
Y 0.952 0.833 0.558
Tl 0.177 0.124 0.755
Tl 0.177 0.376 0.255
Tl 0.823 0.624 0.745
Tl 0.823 0.876 0.245
Sn 0.000 0.000 0.000
Sn 0.000 0.500 0.500

Top 12 peaks for 2θ = 5–70°, most intense first:
2.699 Å, 2θ = 33.19°, I = 1000
2.632 Å, 2θ = 34.07°, I = 779
2.737 Å, 2θ = 32.72°, I = 606
2.834 Å, 2θ = 31.57°, I = 455
2.651 Å, 2θ = 33.81°, I = 427
2.989 Å, 2θ = 29.89°, I = 400
1.798 Å, 2θ = 50.78°, I = 319
3.091 Å, 2θ = 28.89°, I = 310
2.605 Å, 2θ = 34.43°, I = 294
2.435 Å, 2θ = 36.91°, I = 234
4.658 Å, 2θ = 19.05°, I = 228
4.085 Å, 2θ = 21.75°, I = 225